Starting from the PBE geometry in Alexandria, the powder diffractogram of NaNpCO5 was computed for Cu Kα, 1.54184 Å.

Atomic structure:
```
16
Lattice="4.9211 0.0000 0.0000 0.0000 4.4040 0.0000 0.0000 0.0000 11.0736" Properties=species:S:1:pos:R:3 pbc="T T T"
Na 0.0000 1.0099 0.0000
Na 2.4605 3.3941 5.5368
Np 0.0000 3.2652 2.8363
Np 2.4605 1.1388 8.3732
C 0.0000 2.8287 8.3544
C 2.4605 1.5753 2.8176
O 0.0000 1.5473 8.6460
O 0.0000 3.2088 0.9747
O 0.0000 3.3530 4.6820
O 1.1479 3.3873 8.2140
O 1.3126 1.0167 2.6772
O 2.4605 1.0510 10.2188
O 2.4605 1.1952 6.5115
O 2.4605 2.8567 3.1092
O 3.6085 1.0167 2.6772
O 3.7732 3.3873 8.2140
```

Largest 10 diffraction maxima, sorted by position, 2θ = 10–90°:
two_theta, I (rel.)
16.01, 1000
19.74, 881
21.72, 741
27.17, 514
31.68, 843
32.34, 252
42.73, 202
42.89, 431
45.88, 365
49.07, 197